# 1
For MgIn2Ni2, DFT lattice parameters and positions (GGA-PBE) gives the simulated X-ray diffraction stick pattern in this record (CuKα).
No peak broadening, texture or thermal motion is included.

Structural model:
```
MgIn2Ni2
1.0
4.355 0.000 0.000
0.000 4.382 0.000
0.000 0.000 9.330
Mg In Ni
2 4 4
Cartesian
1.089 1.095 1.589
3.266 3.286 7.741
1.089 1.095 4.640
1.089 1.095 7.760
3.266 3.286 1.570
3.266 3.286 4.690
1.089 3.286 0.109
1.089 3.286 3.069
3.266 1.095 6.261
3.266 1.095 9.221
```

Most intense lines, 2θ = 10–90°, in order of falling intensity:
- 2θ 41.2, 2.191 Å, I 100
- 2θ 22.4, 3.966 Å, I 26
- 2θ 41.5, 2.177 Å, I 20
- 2θ 75.1, 1.265 Å, I 19
- 2θ 28.0, 3.184 Å, I 13
- 2θ 59.9, 1.544 Å, I 13
- 2θ 75.5, 1.260 Å, I 12
- 2θ 28.9, 3.089 Å, I 12
- 2θ 89.4, 1.096 Å, I 10
- 2θ 30.5, 2.932 Å, I 8
- 2θ 47.6, 1.909 Å, I 7
- 2θ 59.4, 1.555 Å, I 6


# 2
For Mg4InNi, DFT lattice parameters and positions (GGA-PBE) gives the simulated X-ray diffraction stick pattern in this record (CuKα).
No peak broadening, texture or thermal motion is included.

Structural model:
```
Mg4InNi
1.0
4.099 -6.177 0.000
4.099 6.177 0.000
-1.799 0.000 4.926
Mg In Ni
8 2 2
Cartesian
1.507 4.078 4.619
1.094 0.984 3.182
3.991 4.078 2.771
1.994 -0.984 0.718
4.404 0.984 4.208
2.407 -4.078 2.156
5.304 -0.984 1.745
4.891 -4.078 0.308
3.649 1.540 1.232
2.749 -1.540 3.695
2.749 6.156 3.695
3.649 -6.156 1.232
```

Most intense lines, 2θ = 10–90°, in order of falling intensity:
- 2θ 23.1, 3.851 Å, I 100
- 2θ 37.2, 2.418 Å, I 58
- 2θ 40.8, 2.213 Å, I 58
- 2θ 24.5, 3.631 Å, I 49
- 2θ 19.1, 4.636 Å, I 46
- 2θ 34.2, 2.623 Å, I 45
- 2θ 38.3, 2.353 Å, I 42
- 2θ 28.0, 3.182 Å, I 40
- 2θ 14.3, 6.177 Å, I 34
- 2θ 41.5, 2.178 Å, I 32
- 2θ 47.9, 1.900 Å, I 26
- 2θ 32.9, 2.720 Å, I 24


# 3
For Mg2In3Ni, DFT lattice parameters and positions (GGA-PBE) gives the simulated X-ray diffraction stick pattern in this record (CuKα).
No peak broadening, texture or thermal motion is included.

Structural model:
```
Mg2In3Ni
1.0
6.171 -3.662 0.000
6.171 3.662 0.000
0.000 0.000 5.880
Mg In Ni
4 6 2
Cartesian
2.091 0.000 0.000
2.091 0.000 2.940
10.252 0.000 0.000
10.252 0.000 2.940
6.171 1.798 4.410
4.598 0.841 1.470
4.598 -0.841 4.410
7.744 0.841 1.470
7.744 -0.841 4.410
6.171 -1.798 1.470
6.171 2.953 1.470
6.171 -2.953 4.410
```

Most intense lines, 2θ = 10–90°, in order of falling intensity:
- 2θ 40.7, 2.218 Å, I 100
- 2θ 29.2, 3.062 Å, I 94
- 2θ 41.2, 2.190 Å, I 87
- 2θ 30.4, 2.940 Å, I 75
- 2θ 14.4, 6.171 Å, I 73
- 2θ 39.6, 2.274 Å, I 58
- 2θ 67.4, 1.389 Å, I 45
- 2θ 28.7, 3.109 Å, I 35
- 2θ 33.8, 2.654 Å, I 35
- 2θ 24.8, 3.587 Å, I 31
- 2θ 41.5, 2.174 Å, I 31
- 2θ 61.1, 1.517 Å, I 29


# 4
For MgInNi5, DFT lattice parameters and positions (GGA-PBE) gives the simulated X-ray diffraction stick pattern in this record (CuKα).
No peak broadening, texture or thermal motion is included.

Structural model:
```
MgInNi5
1.0
3.594 0.000 0.000
0.000 3.594 0.000
0.000 0.000 7.841
Mg In Ni
1 1 5
Cartesian
0.000 0.000 0.000
1.797 1.797 3.920
0.000 0.000 3.920
0.000 1.797 1.990
0.000 1.797 5.850
1.797 0.000 1.990
1.797 0.000 5.850
```

Most intense lines, 2θ = 10–90°, in order of falling intensity:
- 2θ 42.4, 2.132 Å, I 100
- 2θ 11.3, 7.841 Å, I 77
- 2θ 50.8, 1.797 Å, I 29
- 2θ 89.9, 1.092 Å, I 21
- 2θ 71.2, 1.325 Å, I 19
- 2θ 46.3, 1.960 Å, I 19
- 2θ 37.2, 2.417 Å, I 15
- 2θ 83.1, 1.162 Å, I 12
- 2θ 27.3, 3.267 Å, I 9
- 2θ 50.1, 1.822 Å, I 8
- 2θ 74.7, 1.271 Å, I 8
- 2θ 52.2, 1.751 Å, I 6


# 5
For MgInNi6, DFT lattice parameters and positions (GGA-PBE) gives the simulated X-ray diffraction stick pattern in this record (CuKα).
No peak broadening, texture or thermal motion is included.

Structural model:
```
MgInNi6
1.0
3.692 -5.232 0.000
3.692 5.232 0.000
0.000 0.000 10.470
Mg In Ni
4 4 24
Cartesian
0.000 0.000 2.595
0.000 0.000 7.875
3.692 2.608 0.000
3.692 -2.608 0.000
3.692 2.617 5.235
3.692 0.000 2.592
3.692 0.000 7.878
3.692 -2.617 5.235
0.000 0.000 0.000
0.000 0.000 5.235
1.824 1.319 1.281
1.824 1.319 9.189
1.828 1.300 3.897
1.828 1.300 6.573
3.692 2.637 2.578
3.692 2.637 7.892
1.828 -1.300 3.897
1.828 -1.300 6.573
1.824 -1.319 1.281
1.824 -1.319 9.189
3.692 0.000 0.000
3.692 0.000 5.235
5.560 1.319 1.281
5.560 1.319 9.189
5.556 1.300 3.897
5.556 1.300 6.573
3.692 -2.637 2.578
3.692 -2.637 7.892
5.556 -1.300 3.897
5.556 -1.300 6.573
5.560 -1.319 1.281
5.560 -1.319 9.189
```

Most intense lines, 2θ = 10–90°, in order of falling intensity:
- 2θ 42.3, 2.135 Å, I 100
- 2θ 49.2, 1.850 Å, I 31
- 2θ 87.4, 1.116 Å, I 22
- 2θ 72.3, 1.307 Å, I 18
- 2θ 49.4, 1.846 Å, I 16
- 2θ 87.6, 1.114 Å, I 11
- 2θ 72.2, 1.308 Å, I 9
- 2θ 14.7, 6.033 Å, I 4
- 2θ 22.5, 3.954 Å, I 4
- 2θ 30.8, 2.900 Å, I 3
- 2θ 19.0, 4.680 Å, I 3
- 2θ 25.6, 3.485 Å, I 2


# 6
For MgIn2Ni2, DFT lattice parameters and positions (GGA-PBE) gives the simulated X-ray diffraction stick pattern in this record (CuKα).
No peak broadening, texture or thermal motion is included.

Structural model:
```
MgIn2Ni2
1.0
5.248 0.000 0.000
0.000 4.349 0.000
-2.456 0.000 7.774
Mg In Ni
2 4 4
Cartesian
-0.339 1.087 1.974
3.131 3.262 5.800
-0.700 1.087 7.364
0.715 1.087 4.755
2.077 3.262 3.020
3.492 3.262 0.410
-0.569 3.262 3.448
0.765 3.262 0.723
2.028 1.087 7.051
3.361 1.087 4.326
```

Most intense lines, 2θ = 10–90°, in order of falling intensity:
- 2θ 40.5, 2.226 Å, I 100
- 2θ 42.1, 2.147 Å, I 83
- 2θ 23.4, 3.796 Å, I 77
- 2θ 41.5, 2.175 Å, I 59
- 2θ 41.6, 2.169 Å, I 55
- 2θ 22.9, 3.887 Å, I 49
- 2θ 41.1, 2.197 Å, I 47
- 2θ 59.8, 1.545 Å, I 38
- 2θ 31.6, 2.830 Å, I 24
- 2θ 42.0, 2.153 Å, I 18
- 2θ 33.8, 2.650 Å, I 17
- 2θ 32.0, 2.795 Å, I 15


# 7
For MgInNiPt, DFT lattice parameters and positions (GGA-PBE) gives the simulated X-ray diffraction stick pattern in this record (CuKα).
No peak broadening, texture or thermal motion is included.

Structural model:
```
MgInNiPt
1.0
4.206 0.000 0.000
0.000 4.206 0.000
0.000 0.000 7.251
Mg In Ni Pt
2 2 2 2
Cartesian
0.000 0.000 0.000
2.103 2.103 3.626
0.000 0.000 3.626
2.103 2.103 0.000
0.000 2.103 1.813
2.103 0.000 5.439
0.000 2.103 5.439
2.103 0.000 1.813
```

Most intense lines, 2θ = 10–90°, in order of falling intensity:
- 2θ 39.2, 2.300 Å, I 100
- 2θ 24.5, 3.637 Å, I 58
- 2θ 43.0, 2.103 Å, I 38
- 2θ 76.2, 1.249 Å, I 28
- 2θ 50.1, 1.821 Å, I 20
- 2θ 68.3, 1.373 Å, I 19
- 2θ 62.4, 1.487 Å, I 12
- 2θ 50.3, 1.813 Å, I 12
- 2θ 43.2, 2.096 Å, I 12
- 2θ 84.2, 1.150 Å, I 11
- 2θ 87.0, 1.120 Å, I 10
- 2θ 30.0, 2.974 Å, I 8


# 8
For Tm2MgInNi, DFT lattice parameters and positions (GGA-PBE) gives the simulated X-ray diffraction stick pattern in this record (CuKα).
No peak broadening, texture or thermal motion is included.

Structural model:
```
Tm2MgInNi
1.0
7.476 0.000 0.000
0.000 4.430 0.000
-2.788 0.000 7.079
Tm Mg In Ni
4 2 2 2
Cartesian
-0.270 1.107 1.635
0.628 3.322 4.372
4.059 1.107 2.707
4.958 3.322 5.444
2.075 3.322 1.415
2.612 1.107 5.664
-0.296 1.107 6.685
4.984 3.322 0.394
-1.174 1.107 4.209
5.861 3.322 2.870
```

Most intense lines, 2θ = 10–90°, in order of falling intensity:
- 2θ 35.2, 2.549 Å, I 100
- 2θ 29.1, 3.065 Å, I 97
- 2θ 40.7, 2.215 Å, I 63
- 2θ 31.5, 2.842 Å, I 56
- 2θ 23.7, 3.755 Å, I 55
- 2θ 32.3, 2.769 Å, I 54
- 2θ 35.4, 2.535 Å, I 49
- 2θ 38.8, 2.319 Å, I 41
- 2θ 14.2, 6.233 Å, I 37
- 2θ 32.7, 2.736 Å, I 34
- 2θ 12.7, 6.956 Å, I 31
- 2θ 38.3, 2.349 Å, I 29


# 9
For Mg2ZnIn2Ni2, DFT lattice parameters and positions (GGA-PBE) gives the simulated X-ray diffraction stick pattern in this record (CuKα).
No peak broadening, texture or thermal motion is included.

Structural model:
```
Mg2ZnIn2Ni2
1.0
9.220 0.000 0.000
0.000 4.315 0.000
-3.173 0.000 6.263
Mg Zn In Ni
4 2 4 4
Cartesian
1.131 0.000 1.868
0.306 2.158 4.395
5.741 2.158 1.868
4.916 0.000 4.395
-1.586 0.000 3.131
3.024 2.158 3.131
-2.474 2.158 4.974
3.911 0.000 1.288
2.136 0.000 4.974
8.521 2.158 1.288
-0.855 0.000 5.461
2.292 2.158 0.802
3.755 2.158 5.461
6.902 0.000 0.802
```

Most intense lines, 2θ = 10–90°, in order of falling intensity:
- 2θ 38.6, 2.335 Å, I 100
- 2θ 40.9, 2.206 Å, I 70
- 2θ 41.9, 2.158 Å, I 45
- 2θ 38.9, 2.314 Å, I 37
- 2θ 24.6, 3.617 Å, I 35
- 2θ 44.0, 2.056 Å, I 27
- 2θ 23.3, 3.821 Å, I 26
- 2θ 21.6, 4.112 Å, I 22
- 2θ 46.7, 1.943 Å, I 19
- 2θ 62.4, 1.489 Å, I 19
- 2θ 19.8, 4.493 Å, I 19
- 2θ 26.9, 3.316 Å, I 17


# 10
For RbMgInO3, DFT lattice parameters and positions (GGA-PBE) gives the simulated X-ray diffraction stick pattern in this record (CuKα).
No peak broadening, texture or thermal motion is included.

Structural model:
```
RbMgInO3
1.0
2.877 -5.538 0.000
2.877 5.538 0.000
0.000 0.000 5.763
Rb Mg In O
2 2 2 6
Cartesian
2.877 2.799 4.322
2.877 -2.799 1.441
2.877 4.806 1.441
2.877 -4.806 4.322
2.877 0.783 1.441
2.877 -0.783 4.322
1.403 0.000 0.000
1.403 0.000 2.882
2.877 2.835 1.441
2.877 -2.835 4.322
4.350 0.000 0.000
4.350 0.000 2.882
```

Most intense lines, 2θ = 10–90°, in order of falling intensity:
- 2θ 32.7, 2.735 Å, I 100
- 2θ 31.1, 2.879 Å, I 60
- 2θ 56.3, 1.633 Å, I 42
- 2θ 44.5, 2.036 Å, I 37
- 2θ 17.4, 5.106 Å, I 33
- 2θ 59.5, 1.554 Å, I 25
- 2θ 22.3, 3.993 Å, I 16
- 2θ 35.8, 2.509 Å, I 12
- 2θ 68.6, 1.368 Å, I 10
- 2θ 73.6, 1.288 Å, I 10
- 2θ 74.5, 1.274 Å, I 9
- 2θ 38.6, 2.334 Å, I 8


# 11
For Mg2ScInO, DFT lattice parameters and positions (GGA-PBE) gives the simulated X-ray diffraction stick pattern in this record (CuKα).
No peak broadening, texture or thermal motion is included.

Structural model:
```
Mg2ScInO
1.0
4.394 0.000 0.000
0.000 4.394 0.000
0.000 0.000 4.450
Mg Sc In O
2 1 1 1
Cartesian
0.000 2.197 0.000
2.197 0.000 0.000
0.000 0.000 2.225
2.197 2.197 2.225
0.000 0.000 0.000
```

Most intense lines, 2θ = 10–90°, in order of falling intensity:
- 2θ 35.2, 2.547 Å, I 100
- 2θ 41.1, 2.197 Å, I 44
- 2θ 28.7, 3.107 Å, I 36
- 2θ 28.5, 3.127 Å, I 36
- 2θ 59.1, 1.563 Å, I 28
- 2θ 71.1, 1.326 Å, I 24
- 2θ 20.0, 4.450 Å, I 23
- 2θ 40.5, 2.225 Å, I 23
- 2θ 20.2, 4.394 Å, I 14
- 2θ 50.8, 1.797 Å, I 14
- 2θ 50.4, 1.809 Å, I 14
- 2θ 59.5, 1.553 Å, I 14


# 12
For MgUInO6, DFT lattice parameters and positions (GGA-PBE) gives the simulated X-ray diffraction stick pattern in this record (CuKα).
No peak broadening, texture or thermal motion is included.

Structural model:
```
MgUInO6
1.0
4.937 0.000 0.000
0.000 4.937 0.000
0.000 0.000 9.786
Mg U In O
2 2 2 12
Cartesian
0.000 0.000 0.000
2.468 2.468 4.893
0.000 0.000 3.263
2.468 2.468 8.156
0.000 0.000 6.538
2.468 2.468 1.645
0.936 0.936 1.676
0.977 0.977 4.814
0.990 0.990 8.204
1.478 3.458 3.311
1.492 3.445 9.707
1.532 3.405 6.569
3.405 1.532 6.569
3.445 1.492 9.707
3.458 1.478 3.311
3.947 3.947 8.204
3.960 3.960 4.814
4.000 4.000 1.676
```

Most intense lines, 2θ = 10–90°, in order of falling intensity:
- 2θ 25.5, 3.491 Å, I 100
- 2θ 32.9, 2.722 Å, I 81
- 2θ 20.1, 4.408 Å, I 71
- 2θ 49.9, 1.828 Å, I 69
- 2θ 31.5, 2.842 Å, I 25
- 2θ 18.1, 4.893 Å, I 24
- 2θ 36.4, 2.468 Å, I 24
- 2θ 41.9, 2.154 Å, I 23
- 2θ 63.3, 1.469 Å, I 21
- 2θ 52.4, 1.745 Å, I 17
- 2θ 59.2, 1.561 Å, I 16
- 2θ 62.9, 1.478 Å, I 16


# 13
For MgIn2Os, DFT lattice parameters and positions (GGA-PBE) gives the simulated X-ray diffraction stick pattern in this record (CuKα).
No peak broadening, texture or thermal motion is included.

Structural model:
```
MgIn2Os
1.0
5.887 0.000 0.000
0.000 7.833 0.000
0.000 0.000 3.267
Mg In Os
2 4 2
Cartesian
0.000 0.000 0.000
2.943 3.917 0.000
1.472 1.958 1.634
1.472 5.875 1.634
4.415 1.958 1.634
4.415 5.875 1.634
0.000 3.917 0.000
2.943 0.000 0.000
```

Most intense lines, 2θ = 10–90°, in order of falling intensity:
- 2θ 35.8, 2.509 Å, I 100
- 2θ 38.3, 2.353 Å, I 83
- 2θ 41.3, 2.187 Å, I 67
- 2θ 18.9, 4.706 Å, I 62
- 2θ 63.8, 1.459 Å, I 36
- 2θ 33.4, 2.684 Å, I 31
- 2θ 70.1, 1.342 Å, I 27
- 2θ 46.4, 1.958 Å, I 24
- 2θ 74.8, 1.269 Å, I 23
- 2θ 56.3, 1.634 Å, I 13
- 2θ 47.2, 1.927 Å, I 12
- 2θ 37.7, 2.387 Å, I 11


# 14
For MgInP, DFT lattice parameters and positions (GGA-PBE) gives the simulated X-ray diffraction stick pattern in this record (CuKα).
No peak broadening, texture or thermal motion is included.

Structural model:
```
MgInP
1.0
2.118 1.223 9.394
-2.118 1.223 9.394
0.000 -2.446 9.394
Mg In P
2 2 2
Cartesian
0.000 0.000 3.735
0.000 0.000 24.446
0.000 0.000 10.589
0.000 0.000 17.593
0.000 0.000 6.411
0.000 0.000 21.770
```

Most intense lines, 2θ = 10–90°, in order of falling intensity:
- 2θ 27.4, 3.254 Å, I 100
- 2θ 35.3, 2.541 Å, I 90
- 2θ 42.7, 2.118 Å, I 66
- 2θ 29.0, 3.075 Å, I 54
- 2θ 24.5, 3.639 Å, I 37
- 2θ 58.7, 1.573 Å, I 34
- 2θ 33.0, 2.712 Å, I 31
- 2θ 56.6, 1.627 Å, I 22
- 2θ 38.3, 2.348 Å, I 21
- 2θ 73.4, 1.290 Å, I 20
- 2θ 48.8, 1.866 Å, I 19
- 2θ 51.5, 1.775 Å, I 17